Theoretical PXRD pattern
Compound: Sc4Ir
Radiation: Cu Kα, 1.54184 Å
Structure: a cell relaxed with PBE

Largest 10 diffraction maxima, in order of rising 2θ, 2θ from 10° to 90°:
- 2θ 16.48, intensity 100.0
- 2θ 21.97, intensity 72.3
- 2θ 27.59, intensity 32.3
- 2θ 29.31, intensity 45.3
- 2θ 33.31, intensity 22.9
- 2θ 35.54, intensity 52.5
- 2θ 39.15, intensity 35.3
- 2θ 42.18, intensity 46.9
- 2θ 43.39, intensity 53.3
- 2θ 58.45, intensity 19.8

Cell and atoms:
```
10
Lattice="-4.0458 4.0458 3.6001 4.0458 -4.0458 3.6001 4.0458 4.0458 -3.6001" Properties=species:S:1:pos:R:3 pbc="T T T"
Sc 3.8152 -2.4767 2.4385
Sc 4.2764 1.5691 -0.6384
Sc 6.5226 -0.2306 1.1616
Sc 1.5691 0.2306 1.1616
Sc 1.5691 3.8152 0.6384
Sc 2.4767 0.2306 4.2385
Sc 4.2764 2.4767 2.4385
Sc -0.2306 2.4767 2.9617
Ir 4.0458 0.0000 1.8001
Ir 0.0000 0.0000 3.6001
```